For HoCrO5, a cell relaxed with GGA+U gives the theoretical powder XRD pattern in this record (copper Kα).

Structure:
```
data_HoCrO5
_cell_length_a 7.2256
_cell_length_b 7.2256
_cell_length_c 4.4988
_cell_angle_alpha 90.00
_cell_angle_beta 90.00
_cell_angle_gamma 90.00
_space_group_name_H-M_alt 'P 4/n m m'
_space_group_IT_number 129
loop_
_space_group_symop_operation_xyz
'x,y,z'
'-x,-y,-z'
'-y+1/2,x,z'
'y+1/2,-x,-z'
'-x+1/2,-y+1/2,z'
'x+1/2,y+1/2,-z'
'y,-x+1/2,z'
'-y,x+1/2,-z'
'x+1/2,-y,-z'
'-x+1/2,y,z'
'-y,-x,-z'
'y,x,z'
'-x,y+1/2,-z'
'x,-y+1/2,z'
'y+1/2,x+1/2,-z'
'-y+1/2,-x+1/2,z'
loop_
_atom_site_label
_atom_site_type_symbol
_atom_site_fract_x
_atom_site_fract_y
_atom_site_fract_z
Ho1 Ho 0.2500 0.2500 0.2467
Cr1 Cr 0.2500 0.7500 0.5000
O1 O 0.0617 0.7500 0.7125
O2 O 0.2500 0.2500 0.7483
```

Top 6 peaks for 5 to 70 degrees two-theta, sorted by position:
- 17.36°, d 5.109, rel. 335, hkl 1 1 0
- 23.29°, d 3.819, rel. 1000, hkl 1 0 1
- 24.64°, d 3.613, rel. 957, hkl 2 0 0
- 34.16°, d 2.625, rel. 329, hkl 2 1 1
- 42.58°, d 2.123, rel. 313, hkl 3 0 1
- 57.49°, d 1.603, rel. 351, hkl 3 1 2